[1]
Simulated powder X-ray diffraction pattern
Compound: Fe6O7F5
Radiation: Cu Kα, 1.54184 Å
Structure: a PBE+U-relaxed structure
Peak positions follow from Bragg's law for the DFT cell and can differ from measured ones.

Largest 10 diffraction maxima, by angle, 2θ from 10° to 80°:
- hkl 1 1 2, 2θ 25.62, I 100.0
- hkl 1 -1 0, 2θ 27.46, I 91.8
- hkl 1 0 -2, 2θ 34.94, I 97.1
- hkl 0 2 2, 2θ 37.90, I 16.9
- hkl 2 2 1, 2θ 39.26, I 17.6
- hkl 0 1 4, 2θ 51.45, I 59.6
- hkl -2 1 2, 2θ 53.52, I 50.3
- hkl 2 2 -2, 2θ 60.65, I 16.0
- hkl -1 2 4, 2θ 66.50, I 20.6
- hkl 2 -1 4, 2θ 66.60, I 17.6

Structural model:
```
data_Fe6O7F5
_chemical_formula_sum 'Fe6 O7 F5'
_cell_length_a 5.6501
_cell_length_b 5.6550
_cell_length_c 7.5981
_cell_angle_alpha 69.72
_cell_angle_beta 69.82
_cell_angle_gamma 70.15
_symmetry_space_group_name_H-M 'P 1'
_symmetry_Int_Tables_number 1
_symmetry_space_group_name_Hall 'P 1'
loop_
_atom_site_label
_atom_site_type_symbol
_atom_site_fract_x
_atom_site_fract_y
_atom_site_fract_z
_atom_site_occupancy
Fe1 Fe 0.0000 0.0000 0.0000 1
Fe2 Fe 0.0021 0.0088 0.4927 1
Fe3 Fe 0.3208 0.3145 0.1472 1
Fe4 Fe 0.3703 0.3050 0.6804 1
Fe5 Fe 0.6399 0.6475 0.8211 1
Fe6 Fe 0.6553 0.6552 0.3394 1
O1 O 0.2229 0.2138 0.9575 1
O2 O 0.2898 0.6770 0.0041 1
O3 O 0.3618 0.9678 0.3246 1
O4 O 0.5721 0.5529 0.6203 1
O5 O 0.6572 0.0019 0.6655 1
O6 O 0.6822 0.2893 0.0014 1
O7 O 0.9739 0.3603 0.3213 1
F1 F 0.0419 0.6179 0.6634 1
F2 F 0.1084 0.0913 0.6970 1
F3 F 0.4312 0.4201 0.3777 1
F4 F 0.7667 0.7618 0.0409 1
F5 F 0.8970 0.8884 0.2984 1
```


[2]
Simulated powder X-ray diffraction pattern
Compound: Fe6O5F7
Radiation: Cu Kα, 1.54184 Å
Structure: a PBE+U-relaxed structure
Peak positions follow from Bragg's law for the DFT cell and can differ from measured ones.

Largest 10 diffraction maxima, by angle, 2θ from 10° to 80°:
- hkl 1 -1 0, 2θ 26.24, I 100.0
- hkl 1 1 2, 2θ 26.58, I 99.9
- hkl 0 1 -2, 2θ 34.18, I 27.6
- hkl 1 2 0, 2θ 34.35, I 26.4
- hkl 1 0 -2, 2θ 34.53, I 26.3
- hkl 2 1 0, 2θ 34.64, I 23.9
- hkl 2 0 -1, 2θ 39.61, I 18.5
- hkl -2 1 2, 2θ 52.13, I 45.0
- hkl 2 -2 0, 2θ 53.98, I 19.8
- hkl -1 2 4, 2θ 66.25, I 20.8

Structural model:
```
data_Fe6O5F7
_chemical_formula_sum 'Fe6 O5 F7'
_cell_length_a 5.6662
_cell_length_b 5.7056
_cell_length_c 7.4092
_cell_angle_alpha 72.76
_cell_angle_beta 71.99
_cell_angle_gamma 73.38
_symmetry_space_group_name_H-M 'P 1'
_symmetry_Int_Tables_number 1
_symmetry_space_group_name_Hall 'P 1'
loop_
_atom_site_label
_atom_site_type_symbol
_atom_site_fract_x
_atom_site_fract_y
_atom_site_fract_z
_atom_site_occupancy
Fe1 Fe 0.0000 0.0000 0.0000 1
Fe2 Fe 0.0102 0.0087 0.5072 1
Fe3 Fe 0.3280 0.3081 0.1680 1
Fe4 Fe 0.3837 0.3289 0.6961 1
Fe5 Fe 0.6455 0.6976 0.3375 1
Fe6 Fe 0.6784 0.7001 0.8264 1
O1 O 0.2256 0.2271 0.9757 1
O2 O 0.3673 0.9850 0.3360 1
O3 O 0.5836 0.5797 0.6313 1
O4 O 0.6533 0.0363 0.6746 1
O5 O 0.7763 0.7782 0.0405 1
F1 F 0.0515 0.6215 0.6802 1
F2 F 0.1189 0.1138 0.7142 1
F3 F 0.3118 0.6909 0.0084 1
F4 F 0.4348 0.4396 0.3724 1
F5 F 0.6927 0.3142 0.0065 1
F6 F 0.9060 0.9078 0.2923 1
F7 F 0.9704 0.3955 0.3280 1
```


[3]
Simulated powder X-ray diffraction pattern
Compound: Fe10O19F
Radiation: Cu Kα, 1.54184 Å
Structure: a PBE+U-relaxed structure
Peak positions follow from Bragg's law for the DFT cell and can differ from measured ones.

Largest 10 diffraction maxima, by angle, 2θ from 10° to 80°:
- hkl -1 1 1, 2θ 27.06, I 99.8
- hkl 1 1 1, 2θ 27.43, I 98.3
- hkl 1 -1 4, 2θ 35.96, I 100.0
- hkl 2 0 0, 2θ 38.91, I 22.0
- hkl 1 -3 2, 2θ 53.80, I 58.2
- hkl 1 3 -2, 2θ 54.23, I 42.6
- hkl -2 2 2, 2θ 55.79, I 15.8
- hkl 2 2 2, 2θ 56.61, I 15.6
- hkl 0 2 -8, 2θ 62.64, I 14.9
- hkl 0 4 -1, 2θ 68.55, I 40.2

Structural model:
```
data_Fe10O19F
_chemical_formula_sum 'Fe10 O19 F1'
_cell_length_a 4.6314
_cell_length_b 5.4985
_cell_length_c 12.7334
_cell_angle_alpha 101.36
_cell_angle_beta 90.23
_cell_angle_gamma 90.68
_symmetry_space_group_name_H-M 'P 1'
_symmetry_Int_Tables_number 1
_symmetry_space_group_name_Hall 'P 1'
loop_
_atom_site_label
_atom_site_type_symbol
_atom_site_fract_x
_atom_site_fract_y
_atom_site_fract_z
_atom_site_occupancy
Fe1 Fe 0.0000 0.0000 0.0000 1
Fe2 Fe 0.0008 0.1977 0.7990 1
Fe3 Fe 0.0048 0.7969 0.1987 1
Fe4 Fe 0.0064 0.6011 0.3997 1
Fe5 Fe 0.0245 0.3860 0.5955 1
Fe6 Fe 0.4899 0.7034 0.8054 1
Fe7 Fe 0.5006 0.9061 0.5978 1
Fe8 Fe 0.5020 0.4985 0.9999 1
Fe9 Fe 0.5031 0.2991 0.1989 1
Fe10 Fe 0.5115 0.0980 0.3965 1
O1 O 0.1914 0.2488 0.9376 1
O2 O 0.1917 0.0523 0.1382 1
O3 O 0.1957 0.8499 0.3358 1
O4 O 0.1967 0.4518 0.7369 1
O5 O 0.2007 0.6524 0.5380 1
O6 O 0.3070 0.7510 0.9441 1
O7 O 0.3155 0.5495 0.1371 1
O8 O 0.3162 0.9489 0.7362 1
O9 O 0.3185 0.3507 0.3365 1
O10 O 0.3195 0.1525 0.5312 1
O11 O 0.6882 0.4468 0.8638 1
O12 O 0.6927 0.0470 0.2596 1
O13 O 0.6932 0.2491 0.0612 1
O14 O 0.6980 0.8478 0.4601 1
O15 O 0.8102 0.9425 0.8606 1
O16 O 0.8111 0.7480 0.0623 1
O17 O 0.8144 0.1439 0.6599 1
O18 O 0.8156 0.5463 0.2610 1
O19 O 0.8192 0.3478 0.4605 1
F1 F 0.7032 0.6381 0.6598 1
```


[4]
Simulated powder X-ray diffraction pattern
Compound: Fe2O3F
Radiation: Cu Kα, 1.54184 Å
Structure: a PBE+U-relaxed structure
Peak positions follow from Bragg's law for the DFT cell and can differ from measured ones.

Largest 10 diffraction maxima, by angle, 2θ from 10° to 80°:
- hkl 0 0 2, 2θ 25.90, I 100.0
- hkl 0 2 0, 2θ 27.94, I 94.4
- hkl 5 1 1, 2θ 35.53, I 98.8
- hkl 0 2 2, 2θ 38.47, I 18.3
- hkl 5 0 2, 2θ 39.86, I 16.3
- hkl 5 1 3, 2θ 52.20, I 57.0
- hkl 5 3 1, 2θ 54.50, I 53.0
- hkl 0 4 0, 2θ 57.74, I 15.1
- hkl 10 0 0, 2θ 61.82, I 15.9
- hkl 5 3 3, 2θ 67.68, I 37.5

Structural model:
```
data_Fe2O3F
_chemical_formula_sum 'Fe20 O30 F10'
_cell_length_a 15.0082
_cell_length_b 6.3867
_cell_length_c 6.8788
_cell_angle_alpha 90.00
_cell_angle_beta 90.00
_cell_angle_gamma 90.00
_symmetry_space_group_name_H-M 'A m m 2'
_symmetry_Int_Tables_number 38
_symmetry_space_group_name_Hall 'A 2 -2'
loop_
_atom_site_label
_atom_site_type_symbol
_atom_site_fract_x
_atom_site_fract_y
_atom_site_fract_z
_atom_site_occupancy
Fe1 Fe 0.0000 0.0000 0.0000 1
Fe2 Fe 0.1001 0.0000 0.4671 1
Fe3 Fe 0.1999 0.0000 0.9332 1
Fe4 Fe 0.3001 0.0000 0.4652 1
Fe5 Fe 0.3997 0.0000 0.9945 1
Fe6 Fe 0.5000 0.0000 0.4547 1
O1 O 0.0000 0.0000 0.2893 1
O2 O 0.0999 0.1929 0.9672 1
O3 O 0.2008 0.0000 0.6431 1
O4 O 0.3004 0.1932 0.9629 1
O5 O 0.3974 0.0000 0.2844 1
O6 O 0.5000 0.1929 0.9773 1
F1 F 0.0000 0.0000 0.6686 1
F2 F 0.1997 0.0000 0.2643 1
F3 F 0.4016 0.0000 0.6654 1
```